Entry 1:
Starting from a DFT-relaxed cell (PBE, Alexandria), the powder diffraction line list of NdGeSe2 was calculated for λ = 1.5418 Å (Cu Kα).

Principal peaks in the range 2θ from 10° to 90°, in order of rising 2θ:
| d_spacing | Position (°2θ) | I (rel.) |
| --- | --- | --- |
| 8.699 | 10.17 | 60.0 |
| 3.499 | 25.46 | 100.0 |
| 2.981 | 29.97 | 49.0 |
| 2.427 | 37.04 | 44.1 |
| 2.119 | 42.66 | 50.8 |
| 2.097 | 43.14 | 49.7 |

Atomic structure:
```
NdGeSe2
1.0
4.194 0.000 0.000
-2.097 3.632 0.000
0.000 0.000 26.097
Nd Ge Se
3 3 6
direct
0.000 0.000 0.000 Nd
0.333 0.667 0.667 Nd
0.667 0.333 0.333 Nd
0.000 0.000 0.500 Ge
0.333 0.667 0.167 Ge
0.667 0.333 0.833 Ge
0.000 0.000 0.397 Se
0.000 0.000 0.603 Se
0.333 0.667 0.064 Se
0.333 0.667 0.269 Se
0.667 0.333 0.731 Se
0.667 0.333 0.936 Se
```

***

Entry 2:
Starting from a DFT-relaxed cell (PBE, Alexandria), the powder diffraction line list of NdSm3Ge2 was calculated for λ = 1.5418 Å (Cu Kα).

Principal peaks in the range 2θ from 10° to 90°, in order of rising 2θ:
| d_spacing | Position (°2θ) | I (rel.) |
| --- | --- | --- |
| 3.049 | 29.29 | 23.6 |
| 2.949 | 30.31 | 100.0 |
| 2.787 | 32.11 | 33.9 |
| 2.517 | 35.68 | 61.4 |
| 2.228 | 40.48 | 48.6 |
| 1.741 | 52.57 | 51.0 |

Atomic structure:
```
NdSm3Ge2
1.0
4.457 0.000 0.000
0.000 4.457 0.000
0.000 0.000 8.362
Nd Sm Ge
1 3 2
direct
0.000 0.000 0.000 Nd
0.000 0.500 0.358 Sm
0.500 0.000 0.642 Sm
0.500 0.500 0.000 Sm
0.000 0.500 0.720 Ge
0.500 0.000 0.280 Ge
```

***

Entry 3:
Starting from a DFT-relaxed cell (PBE, Alexandria), the powder diffraction line list of NdSmZnGe was calculated for λ = 1.5418 Å (Cu Kα).

Principal peaks in the range 2θ from 10° to 90°, in order of rising 2θ:
| d_spacing | Position (°2θ) | I (rel.) |
| --- | --- | --- |
| 3.351 | 26.60 | 24.9 |
| 2.904 | 30.79 | 100.0 |
| 2.830 | 31.62 | 46.5 |
| 2.343 | 38.42 | 49.4 |
| 2.164 | 41.74 | 24.7 |
| 1.503 | 61.71 | 30.5 |

Atomic structure:
```
NdSmZnGe
1.0
4.179 0.000 0.000
0.000 4.328 0.000
0.000 0.000 11.222
Nd Sm Zn Ge
2 2 2 2
direct
0.000 0.000 0.000 Nd
0.000 0.500 0.500 Nd
0.500 0.000 0.283 Sm
0.500 0.500 0.783 Sm
0.500 0.000 0.574 Zn
0.500 0.500 0.074 Zn
0.000 0.000 0.718 Ge
0.000 0.500 0.218 Ge
```

***

Entry 4:
Starting from a DFT-relaxed cell (PBE, Alexandria), the powder diffraction line list of NdSm2Zn2Ge2 was calculated for λ = 1.5418 Å (Cu Kα).

Principal peaks in the range 2θ from 10° to 90°, in order of rising 2θ:
| d_spacing | Position (°2θ) | I (rel.) |
| --- | --- | --- |
| 3.608 | 24.68 | 27.3 |
| 2.917 | 30.65 | 61.5 |
| 2.771 | 32.31 | 100.0 |
| 2.094 | 43.19 | 64.3 |
| 1.671 | 54.95 | 21.9 |
| 1.546 | 59.84 | 29.3 |

Atomic structure:
```
NdSm2Zn2Ge2
1.0
2.094 1.209 11.450
-2.094 1.209 11.450
0.000 -2.419 11.450
Nd Sm Zn Ge
1 2 2 2
direct
0.000 0.000 0.000 Nd
0.123 0.123 0.123 Sm
0.877 0.877 0.877 Sm
0.394 0.394 0.394 Zn
0.606 0.606 0.606 Zn
0.269 0.269 0.269 Ge
0.731 0.731 0.731 Ge
```

***

Entry 5:
Starting from a DFT-relaxed cell (PBE, Alexandria), the powder diffraction line list of Nd3Sn2Ge was calculated for λ = 1.5418 Å (Cu Kα).

Principal peaks in the range 2θ from 10° to 90°, in order of rising 2θ:
| d_spacing | Position (°2θ) | I (rel.) |
| --- | --- | --- |
| 3.141 | 28.42 | 54.2 |
| 3.014 | 29.64 | 100.0 |
| 2.987 | 29.92 | 62.8 |
| 2.753 | 32.52 | 61.9 |
| 2.541 | 35.32 | 61.0 |
| 2.227 | 40.50 | 60.0 |

Atomic structure:
```
Nd3Sn2Ge
1.0
12.790 0.000 0.000
0.000 4.454 0.000
0.000 0.000 12.281
Nd Sn Ge
12 8 4
direct
0.053 0.250 0.119 Nd
0.114 0.750 0.551 Nd
0.230 0.250 0.789 Nd
0.270 0.750 0.289 Nd
0.386 0.250 0.051 Nd
0.447 0.750 0.619 Nd
0.553 0.250 0.381 Nd
0.614 0.750 0.949 Nd
0.730 0.250 0.711 Nd
0.770 0.750 0.211 Nd
0.886 0.250 0.449 Nd
0.947 0.750 0.881 Nd
0.002 0.750 0.299 Sn
0.192 0.750 0.005 Sn
0.308 0.250 0.505 Sn
0.498 0.250 0.799 Sn
0.502 0.750 0.201 Sn
0.692 0.750 0.495 Sn
0.808 0.250 0.995 Sn
0.998 0.250 0.701 Sn
0.128 0.250 0.371 Ge
0.372 0.750 0.871 Ge
0.628 0.250 0.129 Ge
0.872 0.750 0.629 Ge
```

***

Entry 6:
Starting from a DFT-relaxed cell (PBE, Alexandria), the powder diffraction line list of NdTc4Ge4 was calculated for λ = 1.5418 Å (Cu Kα).

Principal peaks in the range 2θ from 10° to 90°, in order of rising 2θ:
| d_spacing | Position (°2θ) | I (rel.) |
| --- | --- | --- |
| 2.936 | 30.45 | 50.3 |
| 2.638 | 33.98 | 100.0 |
| 2.379 | 37.82 | 30.1 |
| 2.288 | 39.39 | 37.4 |
| 2.081 | 43.49 | 65.4 |
| 1.767 | 51.74 | 31.5 |

Atomic structure:
```
NdTc4Ge4
1.0
8.343 0.000 0.000
0.000 8.343 0.000
0.000 0.000 4.758
Nd Tc Ge
2 8 8
direct
0.250 0.250 0.250 Nd
0.750 0.750 0.750 Nd
0.126 0.862 0.673 Tc
0.138 0.626 0.173 Tc
0.362 0.874 0.173 Tc
0.374 0.638 0.673 Tc
0.626 0.362 0.327 Tc
0.638 0.126 0.827 Tc
0.862 0.374 0.827 Tc
0.874 0.138 0.327 Tc
0.039 0.899 0.182 Ge
0.101 0.539 0.682 Ge
0.399 0.961 0.682 Ge
0.461 0.601 0.182 Ge
0.539 0.399 0.818 Ge
0.601 0.039 0.318 Ge
0.899 0.461 0.318 Ge
0.961 0.101 0.818 Ge
```

***

Entry 7:
Starting from a DFT-relaxed cell (PBE, Alexandria), the powder diffraction line list of Nd5GeTe5 was calculated for λ = 1.5418 Å (Cu Kα).

Principal peaks in the range 2θ from 10° to 90°, in order of rising 2θ:
| d_spacing | Position (°2θ) | I (rel.) |
| --- | --- | --- |
| 3.157 | 28.27 | 100.0 |
| 3.144 | 28.38 | 49.0 |
| 2.234 | 40.38 | 56.1 |
| 2.227 | 40.50 | 37.5 |
| 1.817 | 50.22 | 20.0 |
| 1.412 | 66.19 | 21.1 |

Atomic structure:
```
Nd5GeTe5
1.0
7.075 -3.156 0.000
7.075 3.156 0.000
-2.830 0.000 8.424
Nd Ge Te
5 1 5
direct
0.000 0.000 0.000 Nd
0.342 0.342 0.679 Nd
0.343 0.343 0.162 Nd
0.657 0.657 0.838 Nd
0.658 0.658 0.321 Nd
0.500 0.500 0.000 Ge
0.165 0.165 0.827 Te
0.170 0.170 0.336 Te
0.500 0.500 0.500 Te
0.830 0.830 0.664 Te
0.835 0.835 0.173 Te
```

***

Entry 8:
Starting from a DFT-relaxed cell (PBE, Alexandria), the powder diffraction line list of NdTi2Ge2 was calculated for λ = 1.5418 Å (Cu Kα).

Principal peaks in the range 2θ from 10° to 90°, in order of rising 2θ:
| d_spacing | Position (°2θ) | I (rel.) |
| --- | --- | --- |
| 2.912 | 30.71 | 33.9 |
| 2.855 | 31.33 | 77.2 |
| 2.615 | 34.29 | 90.6 |
| 2.059 | 43.98 | 100.0 |
| 1.670 | 54.98 | 31.2 |
| 1.456 | 63.94 | 48.9 |

Atomic structure:
```
NdTi2Ge2
1.0
4.118 0.000 0.000
0.000 4.118 0.000
0.000 0.000 11.889
Nd Ti Ge
2 4 4
direct
0.000 0.000 0.000 Nd
0.500 0.500 0.500 Nd
0.000 0.500 0.250 Ti
0.000 0.500 0.750 Ti
0.500 0.000 0.250 Ti
0.500 0.000 0.750 Ti
0.000 0.000 0.390 Ge
0.000 0.000 0.610 Ge
0.500 0.500 0.110 Ge
0.500 0.500 0.890 Ge
```

***

Entry 9:
Starting from a DFT-relaxed cell (PBE, Alexandria), the powder diffraction line list of Nd4TlGe2 was calculated for λ = 1.5418 Å (Cu Kα).

Principal peaks in the range 2θ from 10° to 90°, in order of rising 2θ:
| d_spacing | Position (°2θ) | I (rel.) |
| --- | --- | --- |
| 2.947 | 30.33 | 100.0 |
| 2.492 | 36.04 | 54.3 |
| 2.486 | 36.14 | 13.2 |
| 1.904 | 47.78 | 12.1 |
| 1.829 | 49.86 | 16.5 |
| 1.513 | 61.26 | 15.1 |

Atomic structure:
```
Nd4TlGe2
1.0
0.000 6.601 4.664
6.574 0.000 4.664
6.574 6.601 0.000
Nd Tl Ge
8 2 4
direct
0.062 0.202 0.043 Nd
0.202 0.062 0.693 Nd
0.207 0.557 0.188 Nd
0.325 0.675 0.431 Nd
0.557 0.207 0.048 Nd
0.675 0.325 0.569 Nd
0.681 0.819 0.575 Nd
0.819 0.681 0.925 Nd
0.066 0.066 0.434 Tl
0.816 0.816 0.184 Tl
0.311 0.571 0.809 Ge
0.441 0.941 0.939 Ge
0.571 0.311 0.309 Ge
0.941 0.441 0.679 Ge
```

***

Entry 10:
Starting from a DFT-relaxed cell (PBE, Alexandria), the powder diffraction line list of NdTmGe2 was calculated for λ = 1.5418 Å (Cu Kα).

Principal peaks in the range 2θ from 10° to 90°, in order of rising 2θ:
| d_spacing | Position (°2θ) | I (rel.) |
| --- | --- | --- |
| 3.060 | 29.18 | 85.3 |
| 2.843 | 31.47 | 100.0 |
| 2.752 | 32.54 | 96.5 |
| 2.557 | 35.09 | 89.2 |
| 2.443 | 36.79 | 56.9 |
| 2.269 | 39.73 | 82.2 |

Atomic structure:
```
NdTmGe2
1.0
4.009 0.000 0.000
0.000 5.855 0.000
0.000 0.000 8.065
Nd Tm Ge
2 2 4
direct
0.000 0.132 0.000 Nd
0.000 0.868 0.500 Nd
0.500 0.369 0.638 Tm
0.500 0.631 0.138 Tm
0.000 0.394 0.360 Ge
0.000 0.606 0.860 Ge
0.500 0.110 0.279 Ge
0.500 0.890 0.779 Ge
```

***

Entry 11:
Starting from a DFT-relaxed cell (PBE, Alexandria), the powder diffraction line list of NdGeW was calculated for λ = 1.5418 Å (Cu Kα).

Principal peaks in the range 2θ from 10° to 90°, in order of rising 2θ:
| d_spacing | Position (°2θ) | I (rel.) |
| --- | --- | --- |
| 2.862 | 31.25 | 12.8 |
| 2.499 | 35.93 | 30.9 |
| 2.468 | 36.41 | 100.0 |
| 2.230 | 40.45 | 15.2 |
| 1.484 | 62.60 | 14.8 |
| 1.437 | 64.90 | 17.0 |

Atomic structure:
```
NdGeW
1.0
13.773 0.000 0.000
0.000 3.610 0.000
0.000 0.000 4.999
Nd Ge W
4 4 4
direct
0.184 0.000 0.000 Nd
0.184 0.500 0.500 Nd
0.816 0.000 0.000 Nd
0.816 0.500 0.500 Nd
0.000 0.000 0.491 Ge
0.000 0.500 0.991 Ge
0.500 0.000 0.942 Ge
0.500 0.500 0.442 Ge
0.365 0.000 0.496 W
0.365 0.500 0.996 W
0.635 0.000 0.496 W
0.635 0.500 0.996 W
```